For Ac6Co3O14, a crystal structure in Alexandria, relaxed with GGA+U gives the calculated X-ray powder pattern in this record (Cu Kα, 1.54184 Å).
Peak positions follow from Bragg's law for the DFT cell and can differ from measured ones.

Structure:
```
Ac6Co3O14
1.0
9.1481 0.0000 0.0000
-4.5741 7.9225 0.0000
0.0000 0.0000 4.9988
Ac Co O
6 3 14
direct
0.0229 0.4427 0.0000
0.3092 0.2261 0.4900
0.4199 0.9771 0.0000
0.5573 0.5801 0.0000
0.7739 0.0832 0.4900
0.9168 0.6908 0.4900
0.0000 0.0000 0.0522
0.3333 0.6667 0.5640
0.6667 0.3333 0.7367
0.0000 0.0000 0.6961
0.0604 0.2038 0.1974
0.1433 0.9396 0.1974
0.1927 0.7314 0.7065
0.2686 0.4613 0.7065
0.3333 0.6667 0.2077
0.4336 0.2626 0.9631
0.5015 0.1013 0.5113
0.5387 0.8073 0.7065
0.5997 0.4985 0.5113
0.7374 0.1710 0.9631
0.7962 0.8567 0.1974
0.8290 0.5664 0.9631
0.8987 0.4003 0.5113
```

The 10 most intense peaks (2θ = 10–90°), in order of rising 2θ:
- d 4.228, I 19
- d 3.961, I 22
- d 3.375, I 69
- d 3.105, I 100
- d 2.994, I 41
- d 2.499, I 20
- d 2.196, I 49
- d 2.012, I 44
- d 1.919, I 27
- d 1.650, I 25

For Ac2CoO5, a crystal structure in Alexandria, relaxed with GGA+U gives the calculated X-ray powder pattern in this record (Cu Kα, 1.54184 Å).
Peak positions follow from Bragg's law for the DFT cell and can differ from measured ones.

Structure:
```
Ac2CoO5
1.0
4.3153 0.0000 0.0000
0.0167 11.1739 0.0000
0.1049 0.0063 11.2285
Ac Co O
8 4 20
direct
0.0000 0.0000 0.0000
0.0014 0.3571 0.9461
0.4890 0.5822 0.1642
0.4984 0.8568 0.7181
0.5031 0.2252 0.2182
0.5161 0.4999 0.6643
0.9953 0.0823 0.5001
0.9962 0.7254 0.4458
0.0709 0.4258 0.3794
0.4252 0.9260 0.2849
0.4298 0.1563 0.7849
0.9301 0.6564 0.8793
0.0137 0.8152 0.8572
0.0207 0.5244 0.7834
0.0221 0.9240 0.3250
0.0231 0.4814 0.5296
0.0275 0.1587 0.8261
0.4720 0.4237 0.3369
0.4848 0.1006 0.6350
0.4859 0.9817 0.1352
0.4981 0.3897 0.0674
0.5037 0.6925 0.5677
0.5068 0.0580 0.3812
0.5082 0.7671 0.3076
0.5120 0.0239 0.8809
0.5164 0.3148 0.8073
0.5299 0.6582 0.8379
0.9798 0.6008 0.0293
0.9815 0.5577 0.2837
0.9864 0.2671 0.3574
0.9972 0.1925 0.0966
0.9982 0.8896 0.5964
```

The 10 most intense peaks (2θ = 10–90°), in order of rising 2θ:
- d 7.920, I 25
- d 5.006, I 24
- d 3.541, I 25
- d 3.437, I 69
- d 3.406, I 60
- d 3.258, I 25
- d 3.105, I 100
- d 2.819, I 46
- d 2.158, I 41
- d 1.983, I 22

For Ac2CoOsO6, a crystal structure in Alexandria, relaxed with GGA+U gives the calculated X-ray powder pattern in this record (Cu Kα, 1.54184 Å).
Peak positions follow from Bragg's law for the DFT cell and can differ from measured ones.

Structure:
```
Ac2CoOsO6
1.0
2.8762 1.6606 9.2932
-2.8762 1.6606 9.2932
0.0000 -3.3211 9.2932
Ac Co Os O
4 2 2 12
direct
0.1303 0.1303 0.1303
0.2813 0.2813 0.2813
0.7187 0.7187 0.7187
0.8697 0.8697 0.8697
0.4102 0.4102 0.4102
0.5898 0.5898 0.5898
0.0000 0.0000 0.0000
0.5000 0.5000 0.5000
0.1132 0.6332 0.6332
0.2020 0.2020 0.7212
0.2020 0.7212 0.2020
0.2788 0.7980 0.7980
0.3668 0.3668 0.8868
0.3668 0.8868 0.3668
0.6332 0.1132 0.6332
0.6332 0.6332 0.1132
0.7212 0.2020 0.2020
0.7980 0.2788 0.7980
0.7980 0.7980 0.2788
0.8868 0.3668 0.3668
```

The 10 most intense peaks (2θ = 10–90°), in order of rising 2θ:
- d 3.715, I 21
- d 3.111, I 49
- d 2.876, I 100
- d 2.856, I 32
- d 2.111, I 31
- d 2.026, I 15
- d 1.849, I 15
- d 1.702, I 18
- d 1.661, I 20
- d 1.438, I 17

For AcPaCo2O7, a crystal structure in Alexandria, relaxed with GGA+U gives the calculated X-ray powder pattern in this record (Cu Kα, 1.54184 Å).
Peak positions follow from Bragg's law for the DFT cell and can differ from measured ones.

Structure:
```
AcPaCo2O7
1.0
-2.0808 2.0808 8.5122
2.0808 -2.0808 8.5122
2.0808 2.0808 -8.5122
Ac Pa Co O
1 1 2 7
direct
0.0000 0.0000 0.0000
0.7500 0.2500 0.5000
0.3917 0.3917 0.0000
0.6083 0.6083 0.0000
0.0948 0.5948 0.5000
0.2758 0.2758 0.0000
0.4052 0.9052 0.5000
0.5000 0.5000 0.0000
0.6187 0.1187 0.5000
0.7242 0.7242 0.0000
0.8813 0.3813 0.5000
```

The 10 most intense peaks (2θ = 10–90°), in order of rising 2θ:
- d 4.256, I 33
- d 4.043, I 75
- d 3.356, I 100
- d 2.781, I 92
- d 2.635, I 53
- d 2.081, I 48
- d 2.043, I 33
- d 1.768, I 33
- d 1.633, I 27
- d 1.488, I 24

For Ac2PmCoO6, a crystal structure in Alexandria, relaxed with GGA+U gives the calculated X-ray powder pattern in this record (Cu Kα, 1.54184 Å).
Peak positions follow from Bragg's law for the DFT cell and can differ from measured ones.

Structure:
```
Ac2PmCoO6
1.0
5.7384 0.0000 0.0000
-2.6611 5.2513 0.0000
-2.7540 -1.7691 5.0297
Ac Pm Co O
2 1 1 6
direct
0.0150 0.2405 0.2749
0.9850 0.7595 0.7251
0.5000 0.5000 0.0000
0.5000 0.0000 0.5000
0.0250 0.7830 0.1560
0.3778 0.1584 0.6767
0.3795 0.6807 0.6595
0.6205 0.3193 0.3405
0.6222 0.8416 0.3233
0.9750 0.2170 0.8440
```

The 10 most intense peaks (2θ = 10–90°), in order of rising 2θ:
- d 4.297, I 13
- d 3.054, I 100
- d 3.042, I 51
- d 2.992, I 43
- d 2.936, I 44
- d 2.865, I 44
- d 2.159, I 23
- d 2.148, I 23
- d 2.038, I 22
- d 1.772, I 13

For Ac2PuCoO8, a crystal structure in Alexandria, relaxed with GGA+U gives the calculated X-ray powder pattern in this record (Cu Kα, 1.54184 Å).
Peak positions follow from Bragg's law for the DFT cell and can differ from measured ones.

Structure:
```
Ac2PuCoO8
1.0
4.6001 0.0000 0.0000
0.9760 5.3220 0.0000
0.8715 1.4003 7.5713
Ac Pu Co O
2 1 1 8
direct
0.0585 0.0749 0.2299
0.9415 0.9251 0.7701
0.5000 0.5000 0.5000
0.5000 0.5000 0.0000
0.1086 0.7153 0.5049
0.1989 0.7517 0.0393
0.3891 0.2132 0.6613
0.4792 0.3446 0.2446
0.5208 0.6554 0.7554
0.6109 0.7868 0.3387
0.8011 0.2483 0.9607
0.8914 0.2847 0.4951
```

The 10 most intense peaks (2θ = 10–90°), in order of rising 2θ:
- d 3.980, I 47
- d 3.746, I 33
- d 3.729, I 95
- d 3.639, I 37
- d 3.372, I 100
- d 3.171, I 81
- d 3.020, I 67
- d 2.832, I 44
- d 2.792, I 33
- d 1.740, I 30

For RbAc2CoO5, a crystal structure in Alexandria, relaxed with GGA+U gives the calculated X-ray powder pattern in this record (Cu Kα, 1.54184 Å).
Peak positions follow from Bragg's law for the DFT cell and can differ from measured ones.

Structure:
```
RbAc2CoO5
1.0
7.2084 0.0000 0.0000
0.0000 7.2084 0.0000
0.0000 0.0000 5.8028
Rb Ac Co O
2 4 2 10
direct
0.0000 0.0000 0.0000
0.5000 0.5000 0.0000
0.1817 0.3183 0.5000
0.3183 0.8183 0.5000
0.6817 0.1817 0.5000
0.8183 0.6817 0.5000
0.0000 0.5000 0.0000
0.5000 0.0000 0.0000
0.0000 0.0000 0.5000
0.1253 0.6253 0.2331
0.1253 0.6253 0.7669
0.3747 0.1253 0.2331
0.3747 0.1253 0.7669
0.5000 0.5000 0.5000
0.6253 0.8747 0.2331
0.6253 0.8747 0.7669
0.8747 0.3747 0.2331
0.8747 0.3747 0.7669
```

The 10 most intense peaks (2θ = 10–90°), in order of rising 2θ:
- d 5.803, I 57
- d 3.224, I 41
- d 3.062, I 100
- d 2.901, I 36
- d 2.818, I 86
- d 2.549, I 22
- d 2.157, I 52
- d 1.704, I 18
- d 1.674, I 32
- d 1.497, I 22

For AcCoRu2O8, a crystal structure in Alexandria, relaxed with GGA+U gives the calculated X-ray powder pattern in this record (Cu Kα, 1.54184 Å).
Peak positions follow from Bragg's law for the DFT cell and can differ from measured ones.

Structure:
```
AcCoRu2O8
1.0
5.1501 0.0000 0.0000
-2.5751 4.4602 0.0000
0.0000 0.0000 7.0460
Ac Co Ru O
1 1 2 8
direct
0.0000 0.0000 0.0000
0.0000 0.0000 0.5000
0.3333 0.6667 0.6994
0.6667 0.3333 0.3006
0.0076 0.2908 0.6759
0.2833 0.9924 0.6759
0.2908 0.2833 0.3241
0.3333 0.6667 0.9635
0.6667 0.3333 0.0365
0.7092 0.7167 0.6759
0.7167 0.0076 0.3241
0.9924 0.7092 0.3241
```

The 10 most intense peaks (2θ = 10–90°), in order of rising 2θ:
- d 4.460, I 40
- d 3.769, I 100
- d 2.765, I 95
- d 2.575, I 72
- d 2.126, I 23
- d 1.884, I 36
- d 1.735, I 19
- d 1.639, I 36
- d 1.521, I 35
- d 1.218, I 19

For AcSmCoO4, a crystal structure in Alexandria, relaxed with GGA+U gives the calculated X-ray powder pattern in this record (Cu Kα, 1.54184 Å).
Peak positions follow from Bragg's law for the DFT cell and can differ from measured ones.

Structure:
```
AcSmCoO4
1.0
-1.9054 1.9054 6.5239
1.9054 -1.9054 6.5239
1.9054 1.9054 -6.5239
Ac Sm Co O
1 1 1 4
direct
0.0000 0.0000 0.0000
0.7260 0.7260 0.0000
0.3520 0.3520 0.0000
0.1842 0.1842 0.0000
0.3504 0.8504 0.5000
0.5461 0.5461 0.0000
0.8504 0.3504 0.5000
```

The 10 most intense peaks (2θ = 10–90°), in order of rising 2θ:
- d 3.658, I 46
- d 3.262, I 21
- d 2.866, I 100
- d 2.695, I 66
- d 2.153, I 21
- d 2.077, I 37
- d 1.905, I 31
- d 1.691, I 21
- d 1.674, I 17
- d 1.587, I 36

For SrAc4Co3O12, a crystal structure in Alexandria, relaxed with GGA+U gives the calculated X-ray powder pattern in this record (Cu Kα, 1.54184 Å).
Peak positions follow from Bragg's law for the DFT cell and can differ from measured ones.

Structure:
```
SrAc4Co3O12
1.0
-4.0484 4.0484 4.0484
4.0484 -4.0484 4.0484
4.0484 4.0484 -4.0484
Sr Ac Co O
1 4 3 12
direct
0.0000 0.0000 0.0000
0.0000 0.0000 0.5000
0.0000 0.5000 0.0000
0.5000 0.0000 0.0000
0.5000 0.5000 0.5000
0.0000 0.5000 0.5000
0.5000 0.0000 0.5000
0.5000 0.5000 0.0000
0.0000 0.2771 0.2771
0.0000 0.7229 0.7229
0.2500 0.5000 0.7500
0.2500 0.7500 0.5000
0.2771 0.0000 0.2771
0.2771 0.2771 0.0000
0.5000 0.2500 0.7500
0.5000 0.7500 0.2500
0.7229 0.0000 0.7229
0.7229 0.7229 0.0000
0.7500 0.2500 0.5000
0.7500 0.5000 0.2500
```

The 10 most intense peaks (2θ = 10–90°), in order of rising 2θ:
- d 4.048, I 27
- d 2.863, I 100
- d 2.337, I 20
- d 2.024, I 28
- d 1.810, I 14
- d 1.653, I 40
- d 1.431, I 17
- d 1.349, I 8
- d 1.280, I 18
- d 1.221, I 7

For AcCo2TcO6, a crystal structure in Alexandria, relaxed with GGA+U gives the calculated X-ray powder pattern in this record (Cu Kα, 1.54184 Å).
Peak positions follow from Bragg's law for the DFT cell and can differ from measured ones.

Structure:
```
AcCo2TcO6
1.0
2.6848 1.5501 4.8150
-2.6848 1.5501 4.8150
0.0000 -3.1002 4.8150
Ac Co Tc O
1 2 1 6
direct
0.0000 0.0000 0.0000
0.2536 0.2536 0.2536
0.7788 0.7788 0.7788
0.4622 0.4622 0.4622
0.0492 0.5949 0.4715
0.1569 0.5345 0.8748
0.4715 0.0492 0.5949
0.5345 0.8748 0.1569
0.5949 0.4715 0.0492
0.8748 0.1569 0.5345
```

The 10 most intense peaks (2θ = 10–90°), in order of rising 2θ:
- d 4.427, I 30
- d 3.910, I 57
- d 2.852, I 100
- d 2.685, I 97
- d 2.454, I 29
- d 1.955, I 42
- d 1.792, I 20
- d 1.580, I 36
- d 1.550, I 26
- d 1.378, I 21

For AcCo2TeO8, a crystal structure in Alexandria, relaxed with GGA+U gives the calculated X-ray powder pattern in this record (Cu Kα, 1.54184 Å).
Peak positions follow from Bragg's law for the DFT cell and can differ from measured ones.

Structure:
```
AcCo2TeO8
1.0
-3.6132 3.6132 3.2409
3.6132 -3.6132 3.2409
3.6132 3.6132 -3.2409
Ac Co Te O
1 2 1 8
direct
0.0000 0.0000 0.0000
0.2500 0.7500 0.5000
0.5000 0.5000 0.0000
0.7500 0.2500 0.5000
0.0510 0.3919 0.3410
0.0510 0.7100 0.6590
0.1288 0.3273 0.8015
0.2900 0.9490 0.3410
0.5257 0.3273 0.1985
0.6081 0.9490 0.6590
0.6727 0.4743 0.8015
0.6727 0.8712 0.1985
```

The 10 most intense peaks (2θ = 10–90°), in order of rising 2θ:
- d 4.825, I 42
- d 3.613, I 100
- d 2.892, I 17
- d 2.737, I 71
- d 2.555, I 24
- d 1.868, I 60
- d 1.807, I 15
- d 1.616, I 14
- d 1.508, I 18
- d 1.299, I 14